Structure and computed XRD peak list of Cr2AgN3 (the PBE geometry in Alexandria; Cu Kα, 1.54184 Å).
Neutral-atom scattering factors, no anomalous dispersion.

Cell and atoms:
a = 2.962 Å, b = 2.962 Å, c = 25.974 Å
α = 90.00°, β = 90.00°, γ = 120.00°
Fractional coordinates of all 18 atoms:
1 Cr 0.061 0.367 0.384
2 Cr 0.306 0.939 0.051
3 Cr 0.367 0.061 0.616
4 Cr 0.633 0.694 0.717
5 Cr 0.694 0.633 0.283
6 Cr 0.939 0.306 0.949
7 Ag 0.000 0.312 0.167
8 Ag 0.312 0.000 0.833
9 Ag 0.688 0.688 0.500
10 N 0.000 0.293 0.667
11 N 0.008 0.314 0.249
12 N 0.293 0.000 0.333
13 N 0.306 0.992 0.916
14 N 0.314 0.008 0.751
15 N 0.686 0.694 0.583
16 N 0.694 0.686 0.417
17 N 0.707 0.707 0.000
18 N 0.992 0.306 0.084

Largest 10 diffraction maxima, in order of rising 2θ, 15° ≤ 2θ ≤ 90°:
hkl 0 0 9, 30.99°, d 2.886, I 69
hkl 1 0 1, 35.15°, d 2.553, I 74
hkl 1 0 4, 37.70°, d 2.386, I 100
hkl 0 1 5, 39.17°, d 2.300, I 73
hkl 0 1 8, 45.04°, d 2.013, I 19
hkl 1 0 10, 49.97°, d 1.825, I 41
hkl 1 0 13, 58.56°, d 1.576, I 22
hkl 0 1 14, 61.70°, d 1.503, I 34
hkl 1 1 0, 62.73°, d 1.481, I 33
hkl 1 1 9, 71.61°, d 1.318, I 29